No. 1
Structure and theoretical powder X-ray diffraction pattern of NdTh4Te5 (the PBE geometry in Alexandria; a wavelength of 1.5418 Å).
No peak broadening, texture or thermal motion is included.

Atomic structure:
```
NdTh4Te5
1.0
3.857 0.000 0.000
0.000 3.857 0.000
0.000 0.000 19.284
Nd Th Te
1 4 5
Cartesian
0.000 0.000 0.000
0.000 0.000 3.851
0.000 0.000 7.714
0.000 0.000 11.570
0.000 0.000 15.432
1.928 1.928 1.966
1.928 1.928 5.789
1.928 1.928 9.642
1.928 1.928 13.495
1.928 1.928 17.318
```

The 6 most intense peaks (2θ from 5° to 70°), low angle first:
two_theta  Rel. int.  (hkl)
23.1  7  0 0 5
32.8  100  1 1 0
47.1  18  2 0 0
53.1  4  1 0 10
58.6  39  2 1 5
68.9  12  2 2 0

No. 2
Structure and theoretical powder X-ray diffraction pattern of NdTh2Te5 (the PBE geometry in Alexandria; a wavelength of 1.5418 Å).
No peak broadening, texture or thermal motion is included.

Atomic structure:
```
NdTh2Te5
1.0
8.848 0.000 0.000
0.000 13.955 0.000
0.000 0.000 4.301
Nd Th Te
2 4 10
Cartesian
0.000 0.000 0.000
4.424 6.977 0.000
0.174 4.486 2.151
4.250 11.463 2.151
4.598 2.492 2.151
8.674 9.469 2.151
0.000 6.977 0.000
1.533 1.590 2.151
1.659 11.248 0.000
2.765 4.270 0.000
2.891 8.567 2.151
4.424 0.000 0.000
5.957 5.387 2.151
6.083 9.684 0.000
7.189 2.707 0.000
7.315 12.365 2.151
```

The 6 most intense peaks (2θ from 5° to 70°), low angle first:
two_theta  Rel. int.  (hkl)
29.7  39  2 1 1
30.0  44  1 3 1
31.7  100  2 2 1
33.1  40  0 4 1
36.1  43  3 3 0
42.0  46  0 0 2

No. 3
Structure and theoretical powder X-ray diffraction pattern of NdThTe2 (the PBE geometry in Alexandria; a wavelength of 1.5418 Å).
No peak broadening, texture or thermal motion is included.

Atomic structure:
```
NdThTe2
1.0
4.481 0.000 0.000
0.000 4.481 0.000
0.000 0.000 6.340
Nd Th Te
1 1 2
Cartesian
0.000 0.000 0.000
2.240 2.240 3.170
0.000 0.000 3.170
2.240 2.240 0.000
```

The 6 most intense peaks (2θ from 5° to 70°), low angle first:
two_theta  Rel. int.  (hkl)
24.3  7  1 0 1
28.2  100  1 1 0
40.2  77  2 0 0
49.8  28  2 0 2
58.2  13  2 2 0
65.9  36  3 1 0